Computed powder diffractogram of Al2Si2O9 for a wavelength of 1.5418 Å, from a DFT-relaxed cell (PBE, the Materials Project).
Neutral-atom scattering factors, no anomalous dispersion.

Most intense lines, 2θ from 10° to 90°, sorted by position:
2theta	Rel. int.	hkl
11.6	100.0	0 1 0
19.8	39.0	1 0 -1
20.5	24.9	1 1 1
22.4	25.4	0 1 2
23.2	15.3	0 1 -2
23.3	36.9	0 2 0

Structural model:
```
Al2Si2O9
1.0
5.315 0.000 0.000
2.049 7.641 0.000
0.047 0.339 9.087
Al Si O
4 4 18
Cartesian
0.000 0.000 0.000
2.161 7.604 2.819
2.329 0.251 4.391
2.634 0.395 7.624
1.754 2.904 2.937
1.919 2.895 5.971
4.479 2.947 7.562
4.491 2.783 1.442
2.572 6.613 1.391
2.000 3.464 4.454
3.072 7.169 7.724
3.010 6.780 4.262
1.565 1.268 3.112
1.612 1.272 8.835
2.218 1.223 5.941
3.047 3.243 2.032
3.124 3.533 6.853
4.696 3.664 8.995
5.744 6.969 3.572
4.233 1.332 7.850
5.703 6.436 7.243
5.757 6.633 8.601
4.239 0.588 4.197
4.654 1.138 1.480
5.683 3.481 2.323
5.764 3.188 6.587
```